Structure and calculated X-ray powder pattern of Lu5Bi2As2 (a cell relaxed with GGA-PBE; copper Kα).
Neutral-atom scattering factors, no anomalous dispersion.

Structure:
```
data_Lu5Bi2As2
_chemical_formula_sum 'Lu15 Bi6 As6'
_cell_length_a 5.0008
_cell_length_b 5.0008
_cell_length_c 39.3880
_cell_angle_alpha 90.00
_cell_angle_beta 90.00
_cell_angle_gamma 120.00
_space_group_name_H-M_alt 'R 3 m'
_space_group_IT_number 160
_space_group_name_Hall 'R 3 -2"'
loop_
_atom_site_label
_atom_site_fract_x
_atom_site_fract_y
_atom_site_fract_z
Lu1 0.0000 0.0000 0.0000
Lu2 0.0000 0.0000 0.1144
Lu3 0.0000 0.0000 0.2685
Lu4 0.0000 0.0000 0.7198
Lu5 0.0000 0.0000 0.8602
Bi1 0.0000 0.0000 0.1912
Bi2 0.0000 0.0000 0.3544
As1 0.0000 0.0000 0.7872
As2 0.0000 0.0000 0.9318
```

Principal peaks in the range 2θ = 5–70°, low angle first:
| Position (°2θ) | intensity | index |
| --- | --- | --- |
| 20.6 | 41 | 1 0 1 |
| 21.0 | 31 | 0 1 2 |
| 27.2 | 24 | 0 0 12 |
| 27.4 | 26 | 0 1 8 |
| 32.4 | 24 | 0 1 11 |
| 35.9 | 100 | 1 1 0 |
| 38.1 | 21 | 0 1 14 |
| 45.6 | 36 | 1 1 12 |
| 50.4 | 24 | 1 1 15 |
| 64.6 | 18 | 3 0 0 |